Diffraction record for MnAlCrF6. The X-ray diffraction stick pattern is simulated, not measured: it uses a PBE+U-relaxed structure and CuKα.
Lines closer than 0.1° are merged.

Largest 12 diffraction maxima, low angle first, 10 to 90 degrees two-theta:
- 2θ = 18.2°, I 14.9
- 2θ = 26.4°, I 100.0
- 2θ = 33.2°, I 19.5
- 2θ = 38.1°, I 29.6
- 2θ = 42.9°, I 19.8
- 2θ = 50.5°, I 51.5
- 2θ = 55.3°, I 22.2
- 2θ = 59.3°, I 19.7
- 2θ = 70.7°, I 6.6
- 2θ = 75.9°, I 8.8
- 2θ = 80.4°, I 7.2
- 2θ = 81.6°, I 9.3

Structure:
Lattice parameters (Å, degrees): 5.3983 5.3983 9.7290 90.00 90.00 120.00
Element x y z (fractional)
Mn1 0.3333 0.6667 0.2500
Mn2 0.6667 0.3333 0.7500
Al1 0.3333 0.6667 0.7500
Al2 0.6667 0.3333 0.2500
Cr1 0.0000 0.0000 0.0000
Cr2 0.0000 0.0000 0.5000
F1 0.0434 0.3928 0.6442
F2 0.0434 0.6506 0.8558
F3 0.3494 0.3928 0.8558
F4 0.3494 0.9566 0.6442
F5 0.3928 0.0434 0.1442
F6 0.3928 0.3494 0.3558
F7 0.6072 0.6506 0.6442
F8 0.6072 0.9566 0.8558
F9 0.6506 0.0434 0.3558
F10 0.6506 0.6072 0.1442
F11 0.9566 0.3494 0.1442
F12 0.9566 0.6072 0.3558


Diffraction record for AlCrO2F. The X-ray diffraction stick pattern is simulated, not measured: it uses a PBE+U-relaxed structure and CuKα.
Lines closer than 0.1° are merged.

Largest 12 diffraction maxima, low angle first, 10 to 90 degrees two-theta:
- 2θ = 33.9°, I 64.0
- 2θ = 34.5°, I 100.0
- 2θ = 42.4°, I 87.6
- 2θ = 48.7°, I 79.6
- 2θ = 50.6°, I 34.9
- 2θ = 61.0°, I 36.6
- 2θ = 62.3°, I 21.0
- 2θ = 71.3°, I 20.8
- 2θ = 72.8°, I 38.8
- 2θ = 81.3°, I 9.5
- 2θ = 81.7°, I 7.9
- 2θ = 86.6°, I 12.4

Structure:
Lattice parameters (Å, degrees): 3.7415 3.7415 3.6099 90.00 90.00 90.00
Element x y z (fractional)
Al1 0.0000 0.0000 0.0000
Cr1 0.5000 0.5000 0.5000
O1 0.0000 0.5000 0.0000
O2 0.5000 0.0000 0.0000
F1 0.0000 0.0000 0.5000